[1]
Theoretical XRD peak list
Compound: MgSi2
Radiation: Cu Kα
Structure: the PBE geometry in the Materials Project
Neutral-atom scattering factors, no anomalous dispersion.

Top 10 peaks for 5 to 70 degrees two-theta, low angle first:
two_theta  I (rel.)
22.9  1.0
33.1  9.5
39.2  80.3
40.2  30.5
40.7  100.0
52.3  9.4
53.4  4.4
57.0  12.3
58.5  19.3
69.5  7.1

a = 4.5965 Å, b = 4.5965 Å, c = 2.7043 Å
α = 90.00°, β = 90.00°, γ = 122.34°
Fractional positions:
Mg 0.0000 0.0000 0.0000
Si 0.3358 0.6642 0.5000
Si 0.6642 0.3358 0.5000

---

[2]
Theoretical XRD peak list
Compound: HfTc
Radiation: Cu Kα
Structure: the PBE geometry in the Materials Project
Neutral-atom scattering factors, no anomalous dispersion.

Top 5 peaks for 5 to 70 degrees two-theta, low angle first:
two_theta  I (rel.)
27.3  9.1
39.0  100.0
48.3  2.8
56.3  17.1
63.7  3.8

a = 3.2660 Å, b = 3.2660 Å, c = 3.2660 Å
α = 90.00°, β = 90.00°, γ = 90.00°
Fractional positions:
Hf 0.0000 0.0000 0.0000
Tc 0.5000 0.5000 0.5000

---

[3]
Theoretical XRD peak list
Compound: SiO2
Radiation: Cu Kα
Structure: the PBE geometry in the Materials Project
Neutral-atom scattering factors, no anomalous dispersion.

Top 10 peaks for 5 to 70 degrees two-theta, low angle first:
two_theta  I (rel.)
20.4  18.9
26.1  100.0
35.8  6.2
38.7  5.4
41.5  4.5
44.8  3.8
49.1  15.7
58.6  9.5
66.2  5.9
66.7  11.9

a = 5.0215 Å, b = 5.0215 Å, c = 5.5106 Å
α = 90.00°, β = 90.00°, γ = 120.00°
Fractional positions:
Si 0.0000 0.4763 0.1667
Si 0.4763 0.0000 0.8333
Si 0.5237 0.5237 0.5000
O 0.1588 0.7439 0.9612
O 0.2561 0.4149 0.2945
O 0.4149 0.2561 0.7055
O 0.5851 0.8412 0.6279
O 0.7439 0.1588 0.0388
O 0.8412 0.5851 0.3721

---

[4]
Theoretical XRD peak list
Compound: PrNdO2
Radiation: Cu Kα
Structure: the PBE geometry in the Materials Project
Neutral-atom scattering factors, no anomalous dispersion.

Top 10 peaks for 5 to 70 degrees two-theta, low angle first:
two_theta  I (rel.)
30.3  31.5
30.5  91.6
35.3  100.0
50.6  34.7
51.0  34.2
60.1  14.4
60.5  28.1
60.6  13.8
62.9  5.8
63.6  17.2

a = 6.2585 Å, b = 6.2585 Å, c = 6.2585 Å
α = 33.24°, β = 33.24°, γ = 33.24°
Fractional positions:
Pr 0.0000 0.0000 0.0000
Nd 0.5000 0.5000 0.5000
O 0.2437 0.2437 0.2437
O 0.7563 0.7563 0.7563

---

[5]
Theoretical XRD peak list
Compound: KNaMg6O7
Radiation: Cu Kα
Structure: the PBE geometry in the Materials Project
Neutral-atom scattering factors, no anomalous dispersion.

Top 10 peaks for 5 to 70 degrees two-theta, low angle first:
two_theta  I (rel.)
10.7  3.6
22.0  2.9
29.0  4.3
35.0  25.3
38.1  3.5
38.9  100.0
44.0  30.3
56.1  29.3
60.1  41.6
67.9  9.8

a = 4.6352 Å, b = 4.6352 Å, c = 8.2358 Å
α = 90.00°, β = 90.00°, γ = 90.00°
Fractional positions:
K 0.0000 0.0000 0.0000
Na 0.0000 0.0000 0.4660
Mg 0.0000 0.5000 0.2156
Mg 0.0000 0.5000 0.7180
Mg 0.5000 0.0000 0.2156
Mg 0.5000 0.0000 0.7180
Mg 0.5000 0.5000 0.4664
Mg 0.5000 0.5000 0.9629
O 0.0000 0.0000 0.7186
O 0.0000 0.5000 0.4496
O 0.0000 0.5000 0.9781
O 0.5000 0.0000 0.4496
O 0.5000 0.0000 0.9781
O 0.5000 0.5000 0.2147
O 0.5000 0.5000 0.7144

---

[6]
Theoretical XRD peak list
Compound: EuSb2
Radiation: Cu Kα
Structure: the PBE geometry in the Materials Project
Neutral-atom scattering factors, no anomalous dispersion.

Top 10 peaks for 5 to 70 degrees two-theta, low angle first:
two_theta  I (rel.)
31.2  36.4
31.7  100.0
32.2  97.5
37.4  13.5
38.5  31.9
40.8  28.8
52.3  16.8
57.4  19.7
65.2  13.0
68.9  14.2

a = 4.6720 Å, b = 4.4185 Å, c = 8.8597 Å
α = 90.00°, β = 103.99°, γ = 90.00°
Fractional positions:
Eu 0.0893 0.2500 0.2053
Eu 0.9107 0.7500 0.7947
Sb 0.2866 0.7500 0.5122
Sb 0.4492 0.2500 0.8810
Sb 0.5508 0.7500 0.1190
Sb 0.7134 0.2500 0.4878